(1)
The following is a simulated XRD peak list of Rb2LiAu2F6. It was derived from the GGA-PBE geometry in Alexandria, using Cu Kα (λ = 1.5418 Å).
Intensities are scaled so that the largest is 100.

Atomic structure:
a b c (Å): 7.280 7.280 6.595
angles (deg): 114.24 114.24 44.64
Positions (direct):
Rb (0.219, 0.219, 0.257)
Rb (0.781, 0.781, 0.743)
Li (0.000, 0.000, 0.500)
Au (0.470, 0.470, 0.191)
Au (0.530, 0.530, 0.809)
F (0.159, 0.666, 0.568)
F (0.312, 0.312, 0.927)
F (0.334, 0.841, 0.432)
F (0.666, 0.159, 0.568)
F (0.688, 0.688, 0.073)
F (0.841, 0.334, 0.432)

Principal peaks in the range 15 to 90 degrees two-theta, in order of falling intensity:
17.64°, intensity 100.0
25.29°, intensity 51.3
32.83°, intensity 49.6
27.42°, intensity 40.5
31.61°, intensity 35.9
32.38°, intensity 25.4
44.43°, intensity 24.9
44.90°, intensity 17.1

(2)
The following is a simulated XRD peak list of PrMg3Au4. It was derived from the GGA-PBE geometry in Alexandria, using Cu Kα (λ = 1.5418 Å).
Intensities are scaled so that the largest is 100.

Atomic structure:
a b c (Å): 9.137 9.137 9.137
angles (deg): 29.69 29.69 29.69
Positions (direct):
Pr (0.000, 0.000, 0.000)
Mg (0.240, 0.240, 0.240)
Mg (0.500, 0.500, 0.500)
Mg (0.760, 0.760, 0.760)
Au (0.128, 0.128, 0.128)
Au (0.395, 0.395, 0.395)
Au (0.605, 0.605, 0.605)
Au (0.872, 0.872, 0.872)

Principal peaks in the range 15 to 90 degrees two-theta, in order of falling intensity:
38.46°, intensity 100.0
35.24°, intensity 82.7
25.85°, intensity 73.8
32.57°, intensity 30.0
53.14°, intensity 25.8
67.49°, intensity 25.2
66.86°, intensity 23.7
69.56°, intensity 17.8